Entry 1:
Diffraction record for Ce2Nd5Se12. The powder diffractogram is theoretical, not measured: it uses a cell relaxed with GGA-PBE and Cu Kα X-rays.

Peak list (6 most intense, 10° ≤ 2θ ≤ 90°, in order of rising 2θ)
20.55°, intensity 100; 21.77°, intensity 90; 29.81°, intensity 71; 29.96°, intensity 80; 34.81°, intensity 64; 37.79°, intensity 73

Cell and atoms:
Cell: 9.0530 9.0530 9.5251 Å, 106.28 106.28 51.95°
Fractional positions:
Ce  0.2473  0.7527  0.0000
Ce  0.7527  0.2473  0.0000
Nd  0.1855  0.1855  0.8242
Nd  0.2069  0.2069  0.3645
Nd  0.5000  0.5000  0.5000
Nd  0.7931  0.7931  0.6355
Nd  0.8145  0.8145  0.1758
Se  0.0042  0.0042  0.2223
Se  0.0476  0.5912  0.9038
Se  0.0989  0.6065  0.4375
Se  0.3935  0.9011  0.5625
Se  0.4088  0.9524  0.0962
Se  0.4847  0.4847  0.1927
Se  0.5153  0.5153  0.8073
Se  0.5912  0.0476  0.9038
Se  0.6065  0.0989  0.4375
Se  0.9011  0.3935  0.5625
Se  0.9524  0.4088  0.0962
Se  0.9958  0.9958  0.7777

Entry 2:
Diffraction record for CeNd3Se4. The powder diffractogram is theoretical, not measured: it uses a cell relaxed with GGA-PBE and Cu Kα X-rays.

Peak list (6 most intense, 10° ≤ 2θ ≤ 90°, in order of rising 2θ)
25.83°, intensity 15; 29.91°, intensity 100; 42.81°, intensity 75; 53.10°, intensity 26; 70.48°, intensity 34; 78.41°, intensity 25

Cell and atoms:
Cell: 7.3183 7.3183 7.3183 Å, 131.82 131.82 70.51°
Fractional positions:
Ce  0.0000  0.0000  0.0000
Nd  0.2500  0.7500  0.5000
Nd  0.5000  0.5000  0.0000
Nd  0.7500  0.2500  0.5000
Se  0.0000  0.5000  0.5000
Se  0.2488  0.2488  0.0000
Se  0.5000  0.0000  0.5000
Se  0.7512  0.7512  0.0000

Entry 3:
Diffraction record for Ce2NdSe5. The powder diffractogram is theoretical, not measured: it uses a cell relaxed with GGA-PBE and Cu Kα X-rays.

Peak list (6 most intense, 10° ≤ 2θ ≤ 90°, in order of rising 2θ)
24.93°, intensity 88; 28.50°, intensity 41; 30.87°, intensity 100; 34.80°, intensity 49; 36.28°, intensity 74; 51.15°, intensity 55

Cell and atoms:
Cell: 7.0032 7.0032 5.1561 Å, 90.00 90.00 90.00°
Fractional positions:
Ce  0.0000  0.5000  0.0000
Ce  0.5000  0.0000  0.0000
Nd  0.0000  0.0000  0.5000
Se  0.0000  0.0000  0.0000
Se  0.2858  0.2858  0.5000
Se  0.2858  0.7142  0.5000
Se  0.7142  0.2858  0.5000
Se  0.7142  0.7142  0.5000

Entry 4:
Diffraction record for Ce2Nd3Se8. The powder diffractogram is theoretical, not measured: it uses a cell relaxed with GGA-PBE and Cu Kα X-rays.

Peak list (6 most intense, 10° ≤ 2θ ≤ 90°, in order of rising 2θ)
21.35°, intensity 17; 21.69°, intensity 18; 35.14°, intensity 24; 35.48°, intensity 100; 35.99°, intensity 26; 64.37°, intensity 17

Cell and atoms:
Cell: 8.8058 8.8058 4.9908 Å, 90.00 90.00 109.09°
Fractional positions:
Ce  0.2364  0.7636  0.0000
Ce  0.7636  0.2364  0.0000
Nd  0.2185  0.2185  0.5000
Nd  0.5000  0.5000  0.0000
Nd  0.7815  0.7815  0.5000
Se  0.1307  0.8693  0.5000
Se  0.1333  0.3839  0.0000
Se  0.3791  0.6209  0.5000
Se  0.3839  0.1333  0.0000
Se  0.6161  0.8667  0.0000
Se  0.6209  0.3791  0.5000
Se  0.8667  0.6161  0.0000
Se  0.8693  0.1307  0.5000

Entry 5:
Diffraction record for CeNd4Se5. The powder diffractogram is theoretical, not measured: it uses a cell relaxed with GGA-PBE and Cu Kα X-rays.

Peak list (6 most intense, 10° ≤ 2θ ≤ 90°, in order of rising 2θ)
25.82°, intensity 15; 29.90°, intensity 100; 42.80°, intensity 74; 53.08°, intensity 26; 70.47°, intensity 33; 78.39°, intensity 25

Cell and atoms:
Cell: 15.2498 15.2498 15.2498 Å, 164.08 164.08 22.59°
Fractional positions:
Ce  0.0000  0.0000  0.0000
Nd  0.1973  0.1973  0.0000
Nd  0.3993  0.3993  0.0000
Nd  0.6007  0.6007  0.0000
Nd  0.8027  0.8027  0.0000
Se  0.0987  0.0987  0.0000
Se  0.2985  0.2985  0.0000
Se  0.5000  0.5000  0.0000
Se  0.7015  0.7015  0.0000
Se  0.9013  0.9013  0.0000

Entry 6:
Diffraction record for Ce2Nd3Se8. The powder diffractogram is theoretical, not measured: it uses a cell relaxed with GGA-PBE and Cu Kα X-rays.

Peak list (6 most intense, 10° ≤ 2θ ≤ 90°, in order of rising 2θ)
19.55°, intensity 60; 25.87°, intensity 64; 32.33°, intensity 100; 33.24°, intensity 49; 39.02°, intensity 66; 43.73°, intensity 79

Cell and atoms:
Cell: 8.5947 8.5947 7.1288 Å, 107.15 107.15 58.75°
Fractional positions:
Ce  0.2394  0.2394  0.1646
Ce  0.7606  0.7606  0.8354
Nd  0.2386  0.7614  0.5000
Nd  0.5000  0.5000  0.0000
Nd  0.7614  0.2386  0.5000
Se  0.1099  0.1099  0.3778
Se  0.1401  0.6038  0.0838
Se  0.3799  0.3799  0.5703
Se  0.3962  0.8599  0.9162
Se  0.6038  0.1401  0.0838
Se  0.6201  0.6201  0.4297
Se  0.8599  0.3962  0.9162
Se  0.8901  0.8901  0.6222